Record 1
Simulated powder diffractogram of Li3Co2RuO6 for Cu Ka, from a DFT-relaxed cell (GGA+U, the Materials Project).
Peak positions follow from Bragg's law for the DFT cell and can differ from measured ones.

Structure:
Cell lengths 5.2030, 5.2030, 9.8766 Å; angles 94.85, 94.85, 119.64 degrees
Atoms (fractional coordinates):
Li (0.0000, 0.5000, 0.5000)
Li (0.1657, 0.3325, 0.9998)
Li (0.3325, 0.1657, 0.4998)
Li (0.5000, 0.0000, 0.0000)
Li (0.6675, 0.8343, 0.5002)
Li (0.8343, 0.6675, 0.0002)
Co (0.0829, 0.9171, 0.7500)
Co (0.4192, 0.5808, 0.7500)
Co (0.5808, 0.4192, 0.2500)
Co (0.9171, 0.0829, 0.2500)
Ru (0.2509, 0.7491, 0.2500)
Ru (0.7491, 0.2509, 0.7500)
O (0.0285, 0.2087, 0.6337)
O (0.1008, 0.6060, 0.8637)
O (0.2087, 0.0285, 0.1337)
O (0.2855, 0.4698, 0.3686)
O (0.3940, 0.8992, 0.6363)
O (0.4698, 0.2855, 0.8686)
O (0.5302, 0.7145, 0.1314)
O (0.6060, 0.1008, 0.3637)
O (0.7145, 0.5302, 0.6314)
O (0.7913, 0.9715, 0.8663)
O (0.8992, 0.3940, 0.1363)
O (0.9715, 0.7913, 0.3663)

Principal peaks in the range 10° ≤ 2θ ≤ 80°, by angle:
18.2°, I 100
34.8°, I 17
35.1°, I 33
42.3°, I 25
42.8°, I 48
61.9°, I 21



Record 2
Simulated powder diffractogram of Li2CoS2O8 for Cu Ka, from a DFT-relaxed cell (GGA+U, the Materials Project).
Peak positions follow from Bragg's law for the DFT cell and can differ from measured ones.

Structure:
Cell lengths 5.0238, 8.2062, 8.9141 Å; angles 90.00, 121.78, 90.00 degrees
Atoms (fractional coordinates):
Li (0.0129, 0.1350, 0.1016)
Li (0.0129, 0.3650, 0.6016)
Li (0.9871, 0.6350, 0.3984)
Li (0.9871, 0.8650, 0.8984)
Co (0.0000, 0.0000, 0.5000)
Co (0.0000, 0.5000, 0.0000)
S (0.3346, 0.6958, 0.8017)
S (0.3346, 0.8042, 0.3017)
S (0.6654, 0.1958, 0.6983)
S (0.6654, 0.3042, 0.1983)
O (0.1822, 0.5823, 0.6522)
O (0.1822, 0.9177, 0.1522)
O (0.2044, 0.6355, 0.2462)
O (0.2044, 0.8645, 0.7462)
O (0.2809, 0.6482, 0.9455)
O (0.2809, 0.8518, 0.4455)
O (0.3195, 0.1973, 0.6240)
O (0.3195, 0.3027, 0.1240)
O (0.6805, 0.6973, 0.8760)
O (0.6805, 0.8027, 0.3760)
O (0.7191, 0.1482, 0.5545)
O (0.7191, 0.3518, 0.0545)
O (0.7956, 0.1355, 0.2538)
O (0.7956, 0.3645, 0.7538)
O (0.8178, 0.0823, 0.8478)
O (0.8178, 0.4177, 0.3478)

Principal peaks in the range 10° ≤ 2θ ≤ 80°, by angle:
15.9°, I 100
23.5°, I 64
24.3°, I 55
25.9°, I 35
30.2°, I 42
32.1°, I 38